Computed powder diffraction line list of In3Bi2S7 for CuKα, from DFT lattice parameters and positions (PBE).
Peak positions follow from Bragg's law for the DFT cell and can differ from measured ones.

Peak list (10 most intense, 10 to 90 degrees two-theta, by angle)
index, 2θ/deg, d (Å), Rel. int.
0 0 2, 24.9, 3.581, 29
5 1 1, 25.5, 3.499, 100
0 2 0, 25.6, 3.486, 27
0 2 2, 36.0, 2.498, 27
10 0 0, 36.7, 2.451, 16
5 1 3, 44.1, 2.052, 25
10 0 2, 44.8, 2.023, 14
5 3 1, 45.0, 2.015, 33
10 2 0, 45.2, 2.005, 13
10 2 2, 52.3, 1.750, 12

Structural model:
Cell: 24.5158 6.9717 7.1626 Å, 90.00 90.00 90.00°
Space group Cmc2_1 (No. 36)
Asymmetric unit:
1 In 0.0000 0.2069 0.0000 [4 per cell]
2 In 0.1964 0.2485 0.9462 [8 per cell]
3 Bi 0.1082 0.2502 0.5136 [8 per cell]
4 S 0.0000 0.1315 0.3558 [4 per cell]
5 S 0.0864 0.3744 0.8872 [8 per cell]
6 S 0.1575 0.0451 0.2280 [8 per cell]
7 S 0.2106 0.3987 0.5891 [8 per cell]

=====

Computed powder diffraction line list of Nd3Te3Au for CuKα, from DFT lattice parameters and positions (PBE).
Peak positions follow from Bragg's law for the DFT cell and can differ from measured ones.

Peak list (10 most intense, 10 to 90 degrees two-theta, by angle)
index, 2θ/deg, d (Å), Rel. int.
1 1 0, 19.1, 4.645, 19
1 1 3, 23.8, 3.735, 28
0 0 6, 28.4, 3.141, 29
1 2 2, 30.9, 2.894, 37
3 0 0, 33.4, 2.682, 100
1 1 6, 34.5, 2.602, 86
2 1 4, 35.1, 2.555, 26
3 0 6, 44.4, 2.040, 24
4 -2 6, 48.8, 1.867, 24
3 0 12, 69.3, 1.355, 20

Structural model:
Cell: 9.2908 9.2908 18.8442 Å, 90.00 90.00 120.00°
Space group R-3 (No. 148, hexagonal axes)
Asymmetric unit:
1 Nd 0.0081 0.6293 0.0797 [18 per cell]
2 Te 0.0027 0.7178 0.9128 [18 per cell]
3 Au 0.0000 0.0000 0.3425 [6 per cell]